NaLi6: computed X-ray diffraction stick pattern (Cu Kα (λ = 1.5418 Å)), based on a PBE-relaxed structure.

The 10 most intense peaks (5 to 70 degrees two-theta), low angle first:
2θ (°)  I_rel  (hkl)
17.5  39.3  1 0 2
18.9  27.2  2 0 0
19.5  90.3  1 1 1
27.1  40.5  0 1 3
30.9  35.3  0 2 0
31.3  73.4  1 0 4
33.3  98.5  2 1 3
33.4  100.0  3 1 1
36.5  39.4  2 2 0
44.6  31.9  1 2 4

Structure:
```
data_NaLi6
_chemical_formula_sum 'Na4 Li24'
_symmetry_space_group_name_H-M 'P n m a'
_symmetry_Int_Tables_number 62
_symmetry_space_group_name_Hall '-P 2ac 2n'
_cell_length_a 9.3894
_cell_length_b 5.7851
_cell_length_c 11.9931
_cell_angle_alpha 90.00
_cell_angle_beta 90.00
_cell_angle_gamma 90.00
loop_
_atom_site_label
_atom_site_type_symbol
_atom_site_fract_x
_atom_site_fract_y
_atom_site_fract_z
Na1 Na 0.2484 0.2500 0.0668
Li1 Li 0.0560 0.7500 0.0822
Li2 Li 0.0649 0.0059 0.3065
Li3 Li 0.1037 0.2500 0.5221
Li4 Li 0.1428 0.7500 0.8472
Li5 Li 0.1870 0.2500 0.7667
```


Na3Li5: computed X-ray diffraction stick pattern (Cu Kα (λ = 1.5418 Å)), based on a PBE-relaxed structure.

The 10 most intense peaks (5 to 70 degrees two-theta), low angle first:
2θ (°)  I_rel  (hkl)
12.3  11.8  0 1 1
16.5  22.3  1 1 1
20.6  13.3  1 2 0
25.1  12.0  2 1 1
33.3  100.0  2 2 2
35.3  25.1  0 4 0
35.4  21.2  0 0 4
50.9  15.0  0 4 4
58.0  17.6  4 4 0
62.2  27.5  2 6 2

Structure:
```
data_Na3Li5
_chemical_formula_sum 'Na12 Li20'
_symmetry_space_group_name_H-M 'A m m 2'
_symmetry_Int_Tables_number 38
_symmetry_space_group_name_Hall 'A 2 -2'
_cell_length_a 8.1555
_cell_length_b 10.1574
_cell_length_c 10.1392
_cell_angle_alpha 90.00
_cell_angle_beta 90.00
_cell_angle_gamma 90.00
loop_
_atom_site_label
_atom_site_type_symbol
_atom_site_fract_x
_atom_site_fract_y
_atom_site_fract_z
Na1 Na 0.0000 0.0000 0.0000
Na2 Na 0.0000 0.2394 0.2415
Na3 Na 0.2685 0.0000 0.7420
Na4 Na 0.5000 0.0000 0.4768
Li1 Li 0.0000 0.0000 0.4779
Li2 Li 0.2678 0.0000 0.2369
Li3 Li 0.2746 0.2460 0.9895
Li4 Li 0.5000 0.0000 0.0069
Li5 Li 0.5000 0.2339 0.2366
```


Na3Li13: computed X-ray diffraction stick pattern (Cu Kα (λ = 1.5418 Å)), based on a PBE-relaxed structure.

The 10 most intense peaks (5 to 70 degrees two-theta), low angle first:
2θ (°)  I_rel  (hkl)
12.4  35.7  0 1 1
17.5  32.9  0 2 0
27.7  20.5  2 1 1
27.9  24.3  0 1 3
30.5  13.9  2 0 2
35.4  100.0  2 2 2
35.6  19.8  0 4 0
51.1  12.8  0 4 4
63.4  13.1  4 4 0
63.7  12.5  2 6 2

Structure:
```
data_Na3Li13
_chemical_formula_sum 'Na6 Li26'
_symmetry_space_group_name_H-M 'A m m 2'
_symmetry_Int_Tables_number 38
_symmetry_space_group_name_Hall 'A 2 -2'
_cell_length_a 7.2016
_cell_length_b 10.1001
_cell_length_c 10.1275
_cell_angle_alpha 90.00
_cell_angle_beta 90.00
_cell_angle_gamma 90.00
loop_
_atom_site_label
_atom_site_type_symbol
_atom_site_fract_x
_atom_site_fract_y
_atom_site_fract_z
Na1 Na 0.0000 0.0000 0.0000
Na2 Na 0.2553 0.0000 0.2705
Li1 Li 0.0000 0.0000 0.5302
Li2 Li 0.0000 0.2339 0.7619
Li3 Li 0.2572 0.0000 0.7551
Li4 Li 0.2591 0.2421 0.5146
Li5 Li 0.5000 0.0000 0.5299
Li6 Li 0.5000 0.0000 0.9958
Li7 Li 0.5000 0.2334 0.7643
```